For Sc3CdO, the PBE geometry in Alexandria gives the computed powder X-ray diffraction pattern in this record (Cu Kα (λ = 1.5418 Å)).

Most intense lines, 15° ≤ 2θ ≤ 90°, most intense first:
2θ/deg, Rel. int., h k l
34.02, 1000, 1 1 0
35.12, 911, 0 1 2
39.36, 852, 1 0 2
58.64, 478, 1 2 2
41.65, 360, 0 2 0
24.89, 345, 0 1 1
67.28, 246, 2 1 2
69.31, 222, 1 1 4
36.95, 202, 1 1 1
55.37, 145, 2 0 0

Structural model:
```
Sc3CdO
1.0
3.319 0.000 0.000
0.000 4.337 0.000
0.000 0.000 6.324
Sc Cd O
3 1 1
direct
0.000 0.000 0.000 Sc
0.500 0.500 0.243 Sc
0.500 0.500 0.757 Sc
0.000 0.000 0.500 Cd
0.000 0.500 0.000 O
```